Simulated X-ray diffraction stick pattern
Compound: Nb3CuOs
Radiation: Cu Ka
Structure: a cell relaxed with GGA-PBE
Neutral-atom scattering factors, no anomalous dispersion.

Crystal structure
Unit cell a=4.8418 b=4.8418 c=4.8418 alpha=90.00 beta=90.00 gamma=90.00
Fractional positions:
Nb 0.0000 0.0000 0.5000
Nb 0.0000 0.5000 0.0000
Nb 0.5000 0.0000 0.0000
Cu 0.5000 0.5000 0.5000
Os 0.0000 0.0000 0.0000

The 10 most intense peaks (2θ = 10–90°), sorted by position:
- 2θ 18.32, d = 4.842 Å, intensity 90
- 2θ 26.03, d = 3.424 Å, intensity 43
- 2θ 32.02, d = 2.795 Å, intensity 20
- 2θ 37.14, d = 2.421 Å, intensity 100
- 2θ 41.71, d = 2.165 Å, intensity 45
- 2θ 45.91, d = 1.977 Å, intensity 19
- 2θ 53.53, d = 1.712 Å, intensity 69
- 2θ 57.07, d = 1.614 Å, intensity 23
- 2θ 66.95, d = 1.398 Å, intensity 23
- 2θ 82.07, d = 1.174 Å, intensity 13